Entry 1:
Diffraction record for KTh2Se6. The X-ray powder pattern is simulated, not measured: it uses a crystal structure in the Materials Project, relaxed with PBE and Cu Kα (weighted mean of Kα1 and Kα2).
Intensities are scaled so that the largest is 100.

Largest 10 diffraction maxima, in order of falling intensity, 5 to 70 degrees two-theta:
- 7.88 deg, I = 100, hkl 0 0 2
- 28.93 deg, I = 76, hkl 1 0 5
- 19.83 deg, I = 50, hkl 0 1 3
- 40.48 deg, I = 33, hkl 1 2 3
- 35.79 deg, I = 31, hkl 1 1 6
- 38.79 deg, I = 28, hkl 1 2 1
- 41.83 deg, I = 23, hkl 1 1 8
- 47.40 deg, I = 20, hkl 0 1 11
- 24.09 deg, I = 20, hkl 1 0 3
- 42.55 deg, I = 19, hkl 2 0 0

Crystal structure
```
data_KTh2Se6
_cell_length_a 4.2491
_cell_length_b 5.5870
_cell_length_c 22.4463
_cell_angle_alpha 90.00
_cell_angle_beta 90.00
_cell_angle_gamma 90.00
_symmetry_space_group_name_H-M 'I m m m'
_symmetry_Int_Tables_number 71
_symmetry_space_group_name_Hall '-I 2 2'
loop_
_atom_site_label
_atom_site_fract_x
_atom_site_fract_y
_atom_site_fract_z
K1 0.0000 0.0000 0.0000
Th1 0.0000 0.5000 0.1781
Se1 0.0000 0.0000 0.2283
Se2 0.0000 0.2461 0.3952
```

Entry 2:
Diffraction record for Y13Ho3O24. The X-ray powder pattern is simulated, not measured: it uses a crystal structure in the Materials Project, relaxed with PBE and Cu Kα (weighted mean of Kα1 and Kα2).
Intensities are scaled so that the largest is 100.

Largest 10 diffraction maxima, in order of falling intensity, 5 to 70 degrees two-theta:
- 28.93 deg, I = 100, hkl 1 1 1
- 48.14 deg, I = 43, hkl 0 4 0
- 57.15 deg, I = 31, hkl -1 3 3
- 33.53 deg, I = 28, hkl 2 2 -2
- 20.34 deg, I = 13, hkl 1 0 1
- 43.14 deg, I = 9, hkl 4 -1 0
- 58.56 deg, I = 6, hkl 1 -4 5
- 59.94 deg, I = 6, hkl 2 2 2
- 35.63 deg, I = 6, hkl 2 -3 2
- 11.71 deg, I = 6, hkl 0 1 0

Crystal structure
```
data_Y13Ho3O24
_cell_length_a 9.2575
_cell_length_b 9.2584
_cell_length_c 9.2601
_cell_angle_alpha 109.48
_cell_angle_beta 109.46
_cell_angle_gamma 109.46
_symmetry_space_group_name_H-M 'P 1'
_symmetry_Int_Tables_number 1
loop_
_symmetry_equiv_pos_as_xyz
'x,y,z'
loop_
_atom_site_label
_atom_site_fract_x
_atom_site_fract_y
_atom_site_fract_z
Y1 0.0000 0.0000 0.0000
Y2 0.9999 0.4993 0.5003
Y3 0.0326 0.7169 0.2499
Y4 0.2178 0.1853 0.4680
Y5 0.2496 0.9674 0.7178
Y6 0.2818 0.7488 0.9677
Y7 0.4675 0.2176 0.1858
Y8 0.4997 0.4346 0.9352
Y9 0.5005 0.9350 0.4358
Y10 0.5325 0.7167 0.7500
Y11 0.7173 0.6847 0.4681
Y12 0.7503 0.9676 0.2184
Y13 0.7832 0.2502 0.9675
Ho1 0.2499 0.4671 0.2173
Ho2 0.7502 0.4669 0.7178
Ho3 0.9675 0.2178 0.6857
O1 0.0118 0.4556 0.2491
O2 0.0195 0.4970 0.7601
O3 0.0231 0.2290 0.9468
O4 0.2075 0.9558 0.9462
O5 0.2178 0.2072 0.7292
O6 0.2389 0.6941 0.1753
O7 0.2609 0.2405 0.2602
O8 0.2809 0.7273 0.7065
O9 0.2928 0.9789 0.4898
O10 0.4769 0.7054 0.4874
O11 0.4806 0.4356 0.6752
O12 0.4885 0.4788 0.1867
O13 0.5105 0.6965 0.9897
O14 0.5210 0.1958 0.9576
O15 0.5215 0.0095 0.2292
O16 0.7086 0.1978 0.6865
O17 0.7186 0.4246 0.4483
O18 0.7387 0.9985 0.9780
O19 0.7630 0.9381 0.4599
O20 0.7815 0.5099 0.9874
O21 0.7927 0.7367 0.7492
O22 0.9789 0.7386 0.4777
O23 0.9786 0.9250 0.2065
O24 0.9895 0.2380 0.4473
```

Entry 3:
Diffraction record for LaC2. The X-ray powder pattern is simulated, not measured: it uses a crystal structure in the Materials Project, relaxed with PBE and Cu Kα (weighted mean of Kα1 and Kα2).
Intensities are scaled so that the largest is 100.

Largest 10 diffraction maxima, in order of falling intensity, 5 to 70 degrees two-theta:
- 26.37 deg, I = 100, hkl 1 0 1
- 32.14 deg, I = 55, hkl 1 1 0
- 42.51 deg, I = 41, hkl 1 1 2
- 27.06 deg, I = 35, hkl 0 0 2
- 53.88 deg, I = 30, hkl 2 1 1
- 47.39 deg, I = 30, hkl 1 0 3
- 54.27 deg, I = 20, hkl 2 0 2
- 68.26 deg, I = 19, hkl 2 1 3
- 46.10 deg, I = 19, hkl 2 0 0
- 65.88 deg, I = 8, hkl 1 1 4

Crystal structure
```
data_LaC2
_cell_length_a 3.9382
_cell_length_b 3.9382
_cell_length_c 6.5892
_cell_angle_alpha 90.00
_cell_angle_beta 90.00
_cell_angle_gamma 90.00
_symmetry_space_group_name_H-M 'I 4/m m m'
_symmetry_Int_Tables_number 139
_symmetry_space_group_name_Hall '-I 4 2'
loop_
_atom_site_label
_atom_site_fract_x
_atom_site_fract_y
_atom_site_fract_z
La1 0.0000 0.0000 0.0000
C1 0.0000 0.0000 0.4013
```

Entry 4:
Diffraction record for MgAl2Cu2O6. The X-ray powder pattern is simulated, not measured: it uses a crystal structure in the Materials Project, relaxed with PBE and Cu Kα (weighted mean of Kα1 and Kα2).
Intensities are scaled so that the largest is 100.

Largest 10 diffraction maxima, in order of falling intensity, 5 to 70 degrees two-theta:
- 34.31 deg, I = 100, hkl 1 0 1
- 30.23 deg, I = 56, hkl 0 0 5
- 5.98 deg, I = 44, hkl 0 0 1
- 38.51 deg, I = 43, hkl 1 0 3
- 11.97 deg, I = 40, hkl 0 0 2
- 60.37 deg, I = 39, hkl 1 1 0
- 41.89 deg, I = 35, hkl 0 1 4
- 61.09 deg, I = 28, hkl 1 0 8
- 68.99 deg, I = 27, hkl 1 1 5
- 35.93 deg, I = 27, hkl 0 1 2

Crystal structure
```
data_MgAl2Cu2O6
_cell_length_a 3.0667
_cell_length_b 3.0667
_cell_length_c 14.7837
_cell_angle_alpha 90.00
_cell_angle_beta 90.00
_cell_angle_gamma 120.00
_symmetry_space_group_name_H-M 'P 3 m 1'
_symmetry_Int_Tables_number 156
loop_
_symmetry_equiv_pos_as_xyz
'x,y,z'
'-y,x-y,z'
'-x+y,-x,z'
'-y,-x,z'
'-x+y,y,z'
'x,x-y,z'
loop_
_atom_site_label
_atom_site_fract_x
_atom_site_fract_y
_atom_site_fract_z
Mg1 0.0000 0.0000 0.0000
Al1 0.0000 0.0000 0.3901
Al2 0.0000 0.0000 0.7731
Cu1 0.3333 0.6667 0.5869
Cu2 0.6667 0.3333 0.1919
O1 0.0000 0.0000 0.1410
O2 0.0000 0.0000 0.6503
O3 0.3333 0.6667 0.4538
O4 0.3333 0.6667 0.7943
O5 0.6667 0.3333 0.3278
O6 0.6667 0.3333 0.9565
```